[1]
Structure and simulated powder diffraction line list of SmMgCo2H6 (a DFT-relaxed cell (PBE, Alexandria); a wavelength of 1.5418 Å).
Neutral-atom scattering factors, no anomalous dispersion.

Cell and atoms:
Lattice parameters (Å, degrees): 5.6769 5.6769 5.6769 45.84 45.84 45.84
Element x y z (fractional)
Sm1 0.0000 0.0000 0.0000
Mg1 0.5000 0.5000 0.5000
Co1 0.2056 0.2056 0.2056
Co2 0.7944 0.7944 0.7944
H1 0.0506 0.5737 0.5737
H2 0.4263 0.4263 0.9494
H3 0.4263 0.9494 0.4263
H4 0.5737 0.0506 0.5737
H5 0.5737 0.5737 0.0506
H6 0.9494 0.4263 0.4263

Principal peaks in the range 2θ = 5–70°, in order of falling intensity:
- 23.96 deg, rel. 100.0
- 33.20 deg, rel. 96.8
- 40.82 deg, rel. 90.2
- 37.77 deg, rel. 77.8
- 55.12 deg, rel. 30.3
- 53.59 deg, rel. 24.0
- 56.82 deg, rel. 22.3
- 69.49 deg, rel. 21.5

[2]
Structure and simulated powder diffraction line list of MnCo5H6 (a DFT-relaxed cell (PBE, Alexandria); a wavelength of 1.5418 Å).
Neutral-atom scattering factors, no anomalous dispersion.

Cell and atoms:
Lattice parameters (Å, degrees): 4.5654 4.5654 4.5505 99.55 99.55 120.16
Element x y z (fractional)
Mn1 0.0000 0.0000 0.0000
Co1 0.1658 0.8342 0.5000
Co2 0.3331 0.6669 0.0000
Co3 0.5000 0.5000 0.5000
Co4 0.6669 0.3331 0.0000
Co5 0.8342 0.1658 0.5000
H1 0.0827 0.4277 0.2512
H2 0.2603 0.2603 0.7478
H3 0.4277 0.0827 0.2512
H4 0.5723 0.9173 0.7488
H5 0.7397 0.7397 0.2522
H6 0.9173 0.5723 0.7488

Principal peaks in the range 2θ = 5–70°, in order of falling intensity:
- 42.00 deg, rel. 100.0
- 42.10 deg, rel. 99.3
- 48.91 deg, rel. 67.0
- 49.03 deg, rel. 33.2

[3]
Structure and simulated powder diffraction line list of MnNbCoHSe2 (a DFT-relaxed cell (PBE, Alexandria); a wavelength of 1.5418 Å).
Neutral-atom scattering factors, no anomalous dispersion.

Cell and atoms:
Lattice parameters (Å, degrees): 12.6939 3.8564 4.1151 90.00 108.85 90.00
Element x y z (fractional)
Mn1 0.0000 0.0000 0.0000
Mn2 0.5000 0.5000 0.0000
Nb1 0.3491 0.0000 0.8379
Nb2 0.8491 0.5000 0.8379
Co1 0.3569 0.5000 0.3486
Co2 0.8569 0.0000 0.3486
H1 0.3476 0.5000 0.7532
H2 0.8476 0.0000 0.7532
Se1 0.0025 0.5000 0.4824
Se2 0.2149 0.0000 0.1978
Se3 0.5025 0.0000 0.4824
Se4 0.7149 0.5000 0.1978

Principal peaks in the range 2θ = 5–70°, in order of falling intensity:
- 44.06 deg, rel. 100.0
- 35.22 deg, rel. 93.6
- 44.12 deg, rel. 63.6
- 14.75 deg, rel. 62.4
- 24.24 deg, rel. 30.4
- 47.13 deg, rel. 30.2
- 31.17 deg, rel. 23.3
- 45.29 deg, rel. 21.9

[4]
Structure and simulated powder diffraction line list of MnNbCoHSe2 (a DFT-relaxed cell (PBE, Alexandria); a wavelength of 1.5418 Å).
Neutral-atom scattering factors, no anomalous dispersion.

Cell and atoms:
Lattice parameters (Å, degrees): 3.4341 4.4113 6.7822 87.90 77.34 75.41
Element x y z (fractional)
Mn1 0.0000 0.0000 0.0000
Nb1 0.7306 0.3095 0.3538
Co1 0.4243 0.8601 0.2602
H1 0.1758 0.5759 0.3320
Se1 0.2182 0.0646 0.5960
Se2 0.7005 0.5701 0.9629

Principal peaks in the range 2θ = 5–70°, in order of falling intensity:
- 30.15 deg, rel. 100.0
- 13.38 deg, rel. 61.1
- 27.88 deg, rel. 58.4
- 46.57 deg, rel. 52.5
- 40.92 deg, rel. 49.1
- 43.08 deg, rel. 48.7
- 25.05 deg, rel. 45.8
- 38.98 deg, rel. 44.0